[1]
The following is a simulated X-ray diffraction stick pattern of Tb2Mg. It was derived from a cell relaxed with GGA-PBE, using Cu Kα, 1.54184 Å.

The 6 most intense peaks (2θ from 10° to 90°), most intense first:
2θ (°)	d/Å	intensity
32.0	2.800	100.0
34.7	2.588	40.9
25.3	3.524	32.4
60.4	1.532	32.3
55.2	1.664	20.3
13.6	6.519	18.7

```
Tb2Mg
1.0
-1.8300 1.8300 6.5193
1.8300 -1.8300 6.5193
1.8300 1.8300 -6.5193
Tb Mg
2 1
direct
0.1598 0.1598 0.0000 Tb
0.8402 0.8402 0.0000 Tb
0.5000 0.5000 0.0000 Mg
```

[2]
The following is a simulated X-ray diffraction stick pattern of TbMg3. It was derived from a cell relaxed with GGA-PBE, using Cu Kα, 1.54184 Å.

The 6 most intense peaks (2θ from 10° to 90°), most intense first:
2θ (°)	d/Å	intensity
35.4	2.533	100.0
23.0	3.867	96.1
26.6	3.352	44.1
15.3	5.805	37.3
44.9	2.021	31.5
54.8	1.676	25.7

```
TbMg3
1.0
6.7031 0.0000 0.0000
-3.3516 5.8051 0.0000
0.0000 0.0000 5.1855
Tb Mg
2 6
direct
0.3333 0.6667 0.2500 Tb
0.6667 0.3333 0.7500 Tb
0.1630 0.3259 0.7500 Mg
0.1630 0.8370 0.7500 Mg
0.3259 0.1630 0.2500 Mg
0.6741 0.8370 0.7500 Mg
0.8370 0.1630 0.2500 Mg
0.8370 0.6741 0.2500 Mg
```

[3]
The following is a simulated X-ray diffraction stick pattern of TbMg3. It was derived from a cell relaxed with GGA-PBE, using Cu Kα, 1.54184 Å.

The 6 most intense peaks (2θ from 10° to 90°), most intense first:
2θ (°)	d/Å	intensity
34.6	2.591	100.0
21.0	4.231	72.9
40.8	2.210	40.0
24.3	3.664	38.6
62.0	1.496	36.1
49.8	1.832	17.7

```
TbMg3
1.0
0.0000 3.6641 3.6641
3.6641 0.0000 3.6641
3.6641 3.6641 0.0000
Tb Mg
1 3
direct
0.0000 0.0000 0.0000 Tb
0.2500 0.2500 0.2500 Mg
0.5000 0.5000 0.5000 Mg
0.7500 0.7500 0.7500 Mg
```

[4]
The following is a simulated X-ray diffraction stick pattern of TbMg. It was derived from a cell relaxed with GGA-PBE, using Cu Kα, 1.54184 Å.

The 6 most intense peaks (2θ from 10° to 90°), most intense first:
2θ (°)	d/Å	intensity
33.4	2.686	100.0
23.4	3.799	62.8
59.6	1.551	37.5
54.0	1.699	26.7
41.2	2.193	19.4
47.9	1.899	18.1

```
TbMg
1.0
3.7989 0.0000 0.0000
0.0000 3.7989 0.0000
0.0000 0.0000 3.7989
Tb Mg
1 1
direct
0.0000 0.0000 0.0000 Tb
0.5000 0.5000 0.5000 Mg
```